Structure and simulated X-ray diffraction stick pattern of BeF2 (a crystal structure in the Materials Project, relaxed with PBE; Cu Kα (weighted mean of Kα1 and Kα2)).
Kinematic intensities with the Lorentz-polarization factor, no thermal factor.

Main lines, most intense first (2θ from 10° to 90°):
2θ 28.28, intensity 100.0
2θ 29.17, intensity 69.3
2θ 25.88, intensity 65.0
2θ 40.21, intensity 62.6
2θ 14.67, intensity 50.6
2θ 38.70, intensity 48.8

Crystal structure
```
data_BeF2
_space_group_name_H-M_alt 'P 1'
_space_group_IT_number 1
_cell_length_a 6.9302
_cell_length_b 7.1666
_cell_length_c 12.6216
_cell_angle_alpha 89.99
_cell_angle_beta 89.91
_cell_angle_gamma 62.04
loop_
_space_group_symop_operation_xyz
'x,y,z'
loop_
_atom_site_label
_atom_site_type_symbol
_atom_site_fract_x
_atom_site_fract_y
_atom_site_fract_z
Be1 Be 0.0000 0.0000 0.0000
Be2 Be 0.0057 0.8266 0.5001
Be3 Be 0.0370 0.4084 0.2901
Be4 Be 0.3633 0.3768 0.9948
Be5 Be 0.3975 0.9559 0.7855
Be6 Be 0.4022 0.7833 0.2847
Be7 Be 0.4428 0.7382 0.0580
Be8 Be 0.4571 0.5450 0.5594
Be9 Be 0.5013 0.4951 0.7853
Be10 Be 0.5056 0.3240 0.2863
Be11 Be 0.5350 0.9063 0.4941
Be12 Be 0.8656 0.8746 0.7918
Be13 Be 0.8943 0.4577 0.9996
Be14 Be 0.9011 0.2856 0.4994
Be15 Be 0.9467 0.2303 0.7249
Be16 Be 0.9580 0.0476 0.2261
F1 F 0.0044 0.0348 0.4912
F2 F 0.0991 0.4702 0.0021
F3 F 0.1449 0.8801 0.2965
F4 F 0.1791 0.1499 0.7810
F5 F 0.2228 0.6295 0.5042
F6 F 0.2570 0.9075 0.9881
F7 F 0.3027 0.3090 0.2857
F8 F 0.4032 0.7464 0.7949
F9 F 0.4060 0.5399 0.0673
F10 F 0.4101 0.4160 0.8751
F11 F 0.4125 0.1247 0.5301
F12 F 0.4462 0.8281 0.1694
F13 F 0.4581 0.4508 0.6698
F14 F 0.4848 0.1594 0.0320
F15 F 0.4915 0.7453 0.5686
F16 F 0.4933 0.8641 0.3738
F17 F 0.5021 0.5335 0.2934
F18 F 0.5998 0.9757 0.7861
F19 F 0.6440 0.3777 0.4891
F20 F 0.6772 0.6538 0.0034
F21 F 0.7241 0.1295 0.2810
F22 F 0.7581 0.3948 0.7950
F23 F 0.8006 0.8150 0.5018
F24 F 0.8950 0.2505 0.9920
F25 F 0.9107 0.9182 0.9108
F26 F 0.9123 0.0302 0.7158
F27 F 0.9230 0.6260 0.2526
F28 F 0.9421 0.3297 0.6153
F29 F 0.9582 0.9545 0.1155
F30 F 0.9806 0.6560 0.7572
F31 F 0.9861 0.3708 0.4097
F32 F 0.9905 0.2487 0.2168
```